# LiGd2Al
Calculated powder diffractogram, Cu Kα, 1.54184 Å. Input: a DFT-relaxed cell (PBE, the Materials Project).
No peak broadening, texture or thermal motion is included.

a b c (Å): 7.350 7.350 7.350
angles (deg): 90.00 90.00 90.00
Space group Fm-3m (No. 225)
Inequivalent atoms, fractional coordinates:
Li 0.000 0.000 0.000 [4 per cell]
Gd 0.250 0.250 0.250 [8 per cell]
Al 0.000 0.000 0.500 [4 per cell]

The 10 most intense peaks (10 to 90 degrees two-theta), by intensity:
(2 2 0), 2θ = 34.51°, intensity 1000; (2 0 0), 2θ = 24.22°, intensity 811; (4 2 2), 2θ = 61.84°, intensity 370; (4 2 0), 2θ = 55.94°, intensity 333; (2 2 2), 2θ = 42.61°, intensity 246; (4 0 0), 2θ = 49.61°, intensity 179; (6 2 0), 2θ = 83.11°, intensity 162; (6 0 0), 2θ = 77.99°, intensity 158; (4 4 0), 2θ = 72.78°, intensity 114; (6 2 2), 2θ = 88.17°, intensity 96